For CsNpRe2O8, a cell relaxed with PBE gives the computed powder XRD pattern in this record (λ = 1.5418 Å (Cu Kα)).
Lines closer than 0.1° are merged.

Atomic structure:
Cell: 6.0875 6.0875 8.5102 Å, 90.00 90.00 120.00°
Space group P-3 (No. 147)
Unique sites:
Cs (0.0000, 0.0000, 0.0000) x1
Np (0.0000, 0.0000, 0.5000) x1
Re (0.3333, 0.6667, 0.7345) x2
O (0.1650, 0.3411, 0.6598) x6
O (0.3333, 0.6667, 0.9419) x2

The 10 most intense peaks (2θ = 10–90°), in order of rising 2θ:
| d_spacing | 2θ/deg | I/Imax |
| --- | --- | --- |
| 5.272 | 16.82 | 16 |
| 4.482 | 19.81 | 100 |
| 3.311 | 26.93 | 95 |
| 3.044 | 29.34 | 74 |
| 2.498 | 35.95 | 16 |
| 2.241 | 40.25 | 36 |
| 1.940 | 46.83 | 21 |
| 1.805 | 50.58 | 35 |
| 1.757 | 52.04 | 15 |
| 1.744 | 52.48 | 29 |

---

For Pm3Sn2Ge2Pt4, a cell relaxed with PBE gives the computed powder XRD pattern in this record (λ = 1.5418 Å (Cu Kα)).
Lines closer than 0.1° are merged.

Atomic structure:
Cell: 4.5366 4.5366 13.6659 Å, 90.00 90.00 120.00°
Space group P-3m1 (No. 164)
Unique sites:
Pm (0.0000, 0.0000, 0.0000) x1
Pm (0.0000, 0.0000, 0.2652) x2
Sn (0.3333, 0.6667, 0.5661) x2
Ge (0.3333, 0.6667, 0.1509) x2
Pt (0.3333, 0.6667, 0.3658) x2
Pt (0.3333, 0.6667, 0.8717) x2

The 10 most intense peaks (2θ = 10–90°), in order of rising 2θ:
| d_spacing | 2θ/deg | I/Imax |
| --- | --- | --- |
| 3.408 | 26.15 | 49 |
| 2.975 | 30.04 | 24 |
| 2.578 | 34.80 | 90 |
| 2.268 | 39.74 | 100 |
| 1.970 | 46.06 | 26 |
| 1.889 | 48.17 | 18 |
| 1.703 | 53.83 | 26 |
| 1.362 | 68.95 | 25 |
| 1.310 | 72.12 | 18 |
| 1.244 | 76.59 | 12 |

---

For La3Pt2Au, a cell relaxed with PBE gives the computed powder XRD pattern in this record (λ = 1.5418 Å (Cu Kα)).
Lines closer than 0.1° are merged.

Atomic structure:
Cell: 4.841 14.272 9.808 Å, 90.00 90.00 90.00°
Space group Cmcm (No. 63)
Unique sites:
La (0.000, 0.122, 0.250) x4
La (0.000, 0.373, 0.046) x8
Pt (0.000, 0.000, 0.000) x4
Pt (0.000, 0.478, 0.750) x4
Au (0.000, 0.231, 0.750) x4

The 10 most intense peaks (2θ = 10–90°), in order of rising 2θ:
| d_spacing | 2θ/deg | I/Imax |
| --- | --- | --- |
| 7.136 | 12.40 | 16 |
| 3.207 | 27.82 | 21 |
| 2.972 | 30.07 | 15 |
| 2.790 | 32.08 | 100 |
| 2.662 | 33.67 | 14 |
| 2.452 | 36.65 | 25 |
| 2.421 | 37.14 | 34 |
| 2.385 | 37.72 | 25 |
| 2.198 | 41.06 | 24 |
| 1.723 | 53.17 | 17 |

---

For MgGa2Pd2, a cell relaxed with PBE gives the computed powder XRD pattern in this record (λ = 1.5418 Å (Cu Kα)).
Lines closer than 0.1° are merged.

Atomic structure:
Cell: 7.525 6.586 6.852 Å, 90.00 104.20 90.00°
Space group C2/c (No. 15)
Unique sites:
Mg (0.000, 0.142, 0.250) x4
Ga (0.170, 0.436, 0.981) x8
Pd (0.153, 0.222, 0.659) x8

The 10 most intense peaks (2θ = 10–90°), in order of rising 2θ:
| d_spacing | 2θ/deg | I/Imax |
| --- | --- | --- |
| 3.657 | 24.34 | 100 |
| 2.559 | 35.07 | 32 |
| 2.427 | 37.04 | 37 |
| 2.339 | 38.50 | 43 |
| 2.328 | 38.67 | 64 |
| 2.202 | 40.99 | 26 |
| 2.155 | 41.93 | 66 |
| 2.144 | 42.15 | 67 |
| 1.965 | 46.20 | 61 |
| 1.482 | 62.69 | 23 |

---

For Zr3Sc2, a cell relaxed with PBE gives the computed powder XRD pattern in this record (λ = 1.5418 Å (Cu Kα)).
Lines closer than 0.1° are merged.

Atomic structure:
Cell: 3.2016 3.2016 39.6088 Å, 90.00 90.00 120.00°
Space group R-3m (No. 166, hexagonal axes)
Unique sites:
Zr (0.0000, 0.0000, 0.0000) x3
Zr (0.0000, 0.0000, 0.1994) x6
Sc (0.0000, 0.0000, 0.4001) x6

The 10 most intense peaks (2θ = 10–90°), in order of rising 2θ:
| d_spacing | 2θ/deg | I/Imax |
| --- | --- | --- |
| 6.601 | 13.41 | 15 |
| 2.641 | 33.95 | 34 |
| 2.617 | 34.27 | 100 |
| 2.271 | 39.68 | 66 |
| 1.612 | 57.16 | 21 |
| 1.601 | 57.58 | 21 |
| 1.376 | 68.17 | 12 |
| 1.369 | 68.55 | 24 |
| 1.366 | 68.74 | 12 |
| 1.308 | 72.20 | 10 |

---

For LiCe2ZrN4, a cell relaxed with PBE gives the computed powder XRD pattern in this record (λ = 1.5418 Å (Cu Kα)).
Lines closer than 0.1° are merged.

Atomic structure:
Cell: 5.788 3.471 5.947 Å, 90.00 108.96 90.00°
Space group P2/m (No. 10)
Unique sites:
Li (0.000, 0.000, 0.000) x1
Ce (0.500, 0.000, 0.500) x1
Ce (0.500, 0.500, 0.000) x1
Zr (0.000, 0.500, 0.500) x1
N (0.237, 0.000, 0.733) x2
N (0.258, 0.500, 0.278) x2

The 10 most intense peaks (2θ = 10–90°), in order of rising 2θ:
| d_spacing | 2θ/deg | I/Imax |
| --- | --- | --- |
| 5.474 | 16.19 | 52 |
| 2.954 | 30.26 | 23 |
| 2.809 | 31.86 | 100 |
| 2.737 | 32.72 | 31 |
| 2.432 | 36.97 | 79 |
| 2.387 | 37.69 | 37 |
| 1.721 | 53.22 | 26 |
| 1.686 | 54.41 | 25 |
| 1.467 | 63.42 | 20 |
| 1.446 | 64.43 | 19 |

---

For Ho2Er6Tm, a cell relaxed with PBE gives the computed powder XRD pattern in this record (λ = 1.5418 Å (Cu Kα)).
Lines closer than 0.1° are merged.

Atomic structure:
Cell: 10.494 10.494 4.955 Å, 90.00 90.00 90.00°
Space group P4_2/mnm (No. 136)
Unique sites:
Ho (0.166, 0.166, 0.000) x4
Er (0.000, 0.333, 0.500) x8
Er (0.167, 0.833, 0.000) x4
Tm (0.000, 0.000, 0.500) x2

The 10 most intense peaks (2θ = 10–90°), in order of rising 2θ:
| d_spacing | 2θ/deg | I/Imax |
| --- | --- | --- |
| 2.858 | 31.30 | 100 |
| 2.475 | 36.30 | 51 |
| 1.750 | 52.28 | 36 |
| 1.492 | 62.21 | 43 |
| 1.429 | 65.31 | 12 |
| 1.239 | 76.97 | 2 |
| 1.237 | 77.13 | 4 |
| 1.136 | 85.52 | 18 |
| 1.108 | 88.21 | 6 |
| 1.106 | 88.35 | 11 |

---

For Li2BeCuH6, a cell relaxed with PBE gives the computed powder XRD pattern in this record (λ = 1.5418 Å (Cu Kα)).
Lines closer than 0.1° are merged.

Atomic structure:
Cell: 4.168 4.168 8.540 Å, 90.00 90.00 90.00°
Space group I4mm (No. 107)
Unique sites:
Li (0.000, 0.500, 0.000) x4
Be (0.000, 0.000, 0.244) x2
Cu (0.000, 0.000, 0.744) x2
H (0.000, 0.000, 0.411) x2
H (0.000, 0.000, 0.933) x2
H (0.241, 0.241, 0.173) x8

The 10 most intense peaks (2θ = 10–90°), in order of rising 2θ:
| d_spacing | 2θ/deg | I/Imax |
| --- | --- | --- |
| 4.270 | 20.80 | 43 |
| 3.746 | 23.75 | 100 |
| 2.947 | 30.32 | 33 |
| 2.426 | 37.06 | 58 |
| 2.351 | 38.29 | 30 |
| 2.084 | 43.42 | 18 |
| 1.873 | 48.61 | 13 |
| 1.821 | 50.09 | 27 |
| 1.560 | 59.25 | 15 |
| 1.259 | 75.48 | 20 |

---

For Na3Sc3SnO8, a cell relaxed with PBE gives the computed powder XRD pattern in this record (λ = 1.5418 Å (Cu Kα)).
Lines closer than 0.1° are merged.

Atomic structure:
Cell: 6.3770 6.3770 16.6824 Å, 90.00 90.00 120.00°
Space group R-3m (No. 166, hexagonal axes)
Unique sites:
Na (0.0000, 0.5000, 0.0000) x9
Sc (0.0000, 0.5000, 0.5000) x9
Sn (0.0000, 0.0000, 0.5000) x3
O (0.0000, 0.0000, 0.2319) x6
O (0.0081, 0.5040, 0.2326) x18

The 10 most intense peaks (2θ = 10–90°), in order of rising 2θ:
| d_spacing | 2θ/deg | I/Imax |
| --- | --- | --- |
| 5.561 | 15.94 | 88 |
| 5.243 | 16.91 | 43 |
| 2.780 | 32.19 | 14 |
| 2.766 | 32.37 | 18 |
| 2.724 | 32.88 | 23 |
| 2.621 | 34.21 | 29 |
| 2.302 | 39.12 | 100 |
| 1.804 | 50.59 | 16 |
| 1.664 | 55.20 | 28 |
| 1.594 | 57.84 | 29 |

---

For Nd2Zn5Cu3, a cell relaxed with PBE gives the computed powder XRD pattern in this record (λ = 1.5418 Å (Cu Kα)).
Lines closer than 0.1° are merged.

Atomic structure:
Cell: 4.082 4.082 11.016 Å, 90.00 90.00 90.00°
Space group P-4m2 (No. 115)
Unique sites:
Nd (0.000, 0.500, 0.235) x2
Zn (0.000, 0.000, 0.500) x1
Zn (0.000, 0.500, 0.645) x2
Zn (0.500, 0.500, 0.000) x1
Zn (0.500, 0.500, 0.500) x1
Cu (0.000, 0.000, 0.000) x1
Cu (0.000, 0.500, 0.869) x2

The 10 most intense peaks (2θ = 10–90°), in order of rising 2θ:
| d_spacing | 2θ/deg | I/Imax |
| --- | --- | --- |
| 2.886 | 30.98 | 15 |
| 2.730 | 32.81 | 56 |
| 2.557 | 35.10 | 100 |
| 2.041 | 44.39 | 50 |
| 1.992 | 45.53 | 10 |
| 1.939 | 46.86 | 30 |
| 1.635 | 56.28 | 23 |
| 1.443 | 64.58 | 15 |
| 1.406 | 66.52 | 20 |
| 1.257 | 75.67 | 20 |

---

For TlIn16Ga12, a cell relaxed with PBE gives the computed powder XRD pattern in this record (λ = 1.5418 Å (Cu Kα)).
Lines closer than 0.1° are merged.

Atomic structure:
Cell: 11.898 14.515 10.038 Å, 90.00 125.93 90.00°
Space group Cm (No. 8)
Unique sites:
Tl (0.000, 0.000, 0.000) x2
In (0.007, 0.323, 0.300) x4
In (0.032, 0.000, 0.629) x2
In (0.033, 0.346, 0.699) x4
In (0.145, 0.155, 0.907) x4
In (0.186, 0.500, 0.300) x2
In (0.204, 0.200, 0.619) x4
In (0.205, 0.500, 0.972) x2
In (0.226, 0.137, 0.305) x4
In (0.294, 0.000, 0.598) x2
In (0.390, 0.298, 0.979) x4
Ga (0.190, 0.315, 0.121) x4
Ga (0.272, 0.405, 0.645) x4
Ga (0.334, 0.000, 0.122) x2
Ga (0.373, 0.317, 0.488) x4
Ga (0.432, 0.095, 0.946) x4
Ga (0.460, 0.404, 0.300) x4
Ga (0.498, 0.000, 0.473) x2

The 10 most intense peaks (2θ = 10–90°), in order of rising 2θ:
| d_spacing | 2θ/deg | I/Imax |
| --- | --- | --- |
| 2.800 | 31.97 | 23 |
| 2.787 | 32.12 | 36 |
| 2.752 | 32.53 | 60 |
| 2.708 | 33.07 | 64 |
| 2.676 | 33.49 | 75 |
| 2.663 | 33.66 | 68 |
| 2.631 | 34.07 | 78 |
| 2.502 | 35.90 | 100 |
| 2.419 | 37.17 | 24 |
| 2.319 | 38.84 | 32 |

---

For Pr2ThHg6, a cell relaxed with PBE gives the computed powder XRD pattern in this record (λ = 1.5418 Å (Cu Kα)).
Lines closer than 0.1° are merged.

Atomic structure:
Cell: 8.8173 8.8173 3.4463 Å, 90.00 90.00 120.00°
Space group P6/mmm (No. 191)
Unique sites:
Pr (0.3333, 0.6667, 0.0000) x2
Th (0.0000, 0.0000, 0.0000) x1
Hg (0.0000, 0.3337, 0.5000) x6

The 10 most intense peaks (2θ = 10–90°), in order of rising 2θ:
| d_spacing | 2θ/deg | I/Imax |
| --- | --- | --- |
| 3.446 | 25.85 | 12 |
| 2.715 | 32.99 | 100 |
| 2.545 | 35.26 | 100 |
| 2.047 | 44.24 | 18 |
| 1.857 | 49.06 | 33 |
| 1.500 | 61.85 | 34 |
| 1.470 | 63.28 | 19 |
| 1.427 | 65.40 | 34 |
| 1.152 | 83.98 | 15 |
| 1.118 | 87.18 | 16 |